No. 1
The following is a calculated powder diffractogram of CrSnTe. It was derived from a PBE-relaxed structure, using a wavelength of 1.5418 Å.

Most intense lines, 15 to 90 degrees two-theta, low angle first:
- 2θ 26.27, I = 32.8
- 2θ 30.58, I = 91.0
- 2θ 32.70, I = 26.5
- 2θ 35.97, I = 100.0
- 2θ 40.17, I = 63.3
- 2θ 52.98, I = 45.8
- 2θ 56.56, I = 27.8
- 2θ 60.08, I = 21.2
- 2θ 65.71, I = 17.7
- 2θ 89.23, I = 16.6

Atomic structure:
```
CrSnTe
1.0
13.570 0.000 0.000
0.000 3.457 0.000
0.000 0.000 5.986
Cr Sn Te
4 4 4
Direct
0.000 0.000 0.000 Cr
0.000 0.500 0.500 Cr
0.500 0.000 0.001 Cr
0.500 0.500 0.501 Cr
0.150 0.000 0.333 Sn
0.150 0.500 0.833 Sn
0.850 0.000 0.333 Sn
0.850 0.500 0.833 Sn
0.374 0.000 0.668 Te
0.374 0.500 0.168 Te
0.626 0.000 0.668 Te
0.626 0.500 0.168 Te
```

=====

No. 2
The following is a calculated powder diffractogram of Tl3CrSn2Te6. It was derived from a PBE-relaxed structure, using a wavelength of 1.5418 Å.

Most intense lines, 15 to 90 degrees two-theta, low angle first:
- 2θ 23.96, I = 8.0
- 2θ 28.14, I = 100.0
- 2θ 30.40, I = 13.6
- 2θ 34.22, I = 6.4
- 2θ 38.81, I = 34.4
- 2θ 41.53, I = 23.0
- 2θ 41.70, I = 11.1
- 2θ 51.04, I = 11.1
- 2θ 63.92, I = 7.1
- 2θ 67.73, I = 8.7

Atomic structure:
```
Tl3CrSn2Te6
1.0
3.771 -6.498 0.000
3.771 6.498 0.000
-2.507 0.000 7.861
Tl Cr Sn Te
3 1 2 6
Direct
0.000 0.000 0.000 Tl
0.322 0.678 0.000 Tl
0.678 0.322 0.000 Tl
0.500 0.500 0.500 Cr
0.165 0.835 0.500 Sn
0.835 0.165 0.500 Sn
0.133 0.434 0.300 Te
0.271 0.271 0.708 Te
0.434 0.133 0.300 Te
0.566 0.867 0.700 Te
0.729 0.729 0.292 Te
0.867 0.566 0.700 Te
```

=====

No. 3
The following is a calculated powder diffractogram of Ti8CrSn2. It was derived from a PBE-relaxed structure, using a wavelength of 1.5418 Å.

Most intense lines, 15 to 90 degrees two-theta, low angle first:
- 2θ 23.80, I = 19.0
- 2θ 24.73, I = 18.2
- 2θ 32.04, I = 17.6
- 2θ 38.26, I = 36.7
- 2θ 38.86, I = 30.7
- 2θ 40.50, I = 100.0
- 2θ 40.67, I = 13.7
- 2θ 50.73, I = 12.2
- 2θ 70.67, I = 17.8
- 2θ 76.67, I = 11.3

Atomic structure:
```
Ti8CrSn2
1.0
-2.353 3.077 6.656
2.353 -3.077 6.656
2.353 3.077 -6.656
Ti Cr Sn
8 1 2
Direct
0.134 0.371 0.763 Ti
0.172 0.172 0.000 Ti
0.253 0.000 0.253 Ti
0.391 0.629 0.763 Ti
0.609 0.371 0.237 Ti
0.747 0.000 0.747 Ti
0.828 0.828 0.000 Ti
0.866 0.629 0.237 Ti
0.000 0.500 0.500 Cr
0.312 0.812 0.500 Sn
0.688 0.188 0.500 Sn
```

=====

No. 4
The following is a calculated powder diffractogram of Zr2Cr2Sn. It was derived from a PBE-relaxed structure, using a wavelength of 1.5418 Å.

Most intense lines, 15 to 90 degrees two-theta, low angle first:
- 2θ 31.23, I = 100.0
- 2θ 37.20, I = 87.2
- 2θ 39.09, I = 19.8
- 2θ 40.03, I = 37.3
- 2θ 40.40, I = 53.4
- 2θ 56.48, I = 27.8
- 2θ 65.79, I = 18.8
- 2θ 65.96, I = 23.4
- 2θ 69.59, I = 27.7
- 2θ 71.46, I = 25.5

Atomic structure:
```
Zr2Cr2Sn
1.0
3.259 0.000 0.000
0.000 3.259 0.000
0.000 0.000 18.020
Zr Cr Sn
4 4 2
Direct
0.000 0.000 0.118 Zr
0.000 0.000 0.882 Zr
0.500 0.500 0.382 Zr
0.500 0.500 0.618 Zr
0.000 0.500 0.250 Cr
0.000 0.500 0.750 Cr
0.500 0.000 0.250 Cr
0.500 0.000 0.750 Cr
0.000 0.000 0.500 Sn
0.500 0.500 0.000 Sn
```